Structure and calculated powder diffraction line list of Co3AgP3H2O12 (DFT lattice parameters and positions (GGA+U); CuKα).
Neutral-atom scattering factors, no anomalous dispersion.

Cell and atoms:
a = 11.901 Å, b = 12.157 Å, c = 6.498 Å
α = 90.00°, β = 114.35°, γ = 90.00°
Space group C2/c (No. 15)
Unique sites:
Co1 0.000 0.223 0.250 x4
Co2 0.210 0.337 0.120 x8
Ag1 0.000 0.461 0.750 x4
P1 0.000 0.179 0.750 x4
P2 0.222 0.388 0.613 x8
H1 0.115 0.002 0.304 x8
O1 0.035 0.253 0.963 x8
O2 0.108 0.103 0.767 x8
O3 0.138 0.092 0.340 x8
O4 0.156 0.327 0.386 x8
O5 0.161 0.499 0.106 x8
O6 0.216 0.318 0.806 x8

Principal peaks in the range 2θ from 10° to 90°, low angle first:
d = 8.092 Å, intensity 100, (1 1 0); d = 3.004 Å, intensity 34, (1 3 1); d = 2.960 Å, intensity 25, (0 0 2); d = 2.882 Å, intensity 30, (3 1 -2); d = 2.708 Å, intensity 46, (4 0 0); d = 2.697 Å, intensity 51, (3 3 0); d = 2.651 Å, intensity 45, (2 4 0); d = 2.604 Å, intensity 30, (4 0 -2); d = 2.517 Å, intensity 35, (1 3 -2); d = 2.135 Å, intensity 30, (5 1 0)